This entry pairs a crystal structure of CoNi4O8 with its simulated XRD peak list. Radiation: CuKα. Structure: a DFT-relaxed cell (PBE+U, the Materials Project).
Lines closer than 0.1° are merged.

Most intense lines, 2θ from 15° to 90°, most intense first:
| Position (°2θ) | I_rel |
| --- | --- |
| 44.4 | 1000 |
| 18.4 | 977 |
| 19.0 | 300 |
| 36.9 | 296 |
| 38.5 | 209 |
| 65.3 | 181 |
| 63.8 | 175 |
| 21.8 | 152 |
| 58.2 | 148 |
| 37.3 | 132 |

Cell and atoms:
```
CoNi4O8
1.0
4.9570 -2.8503 0.0000
4.9570 2.8503 0.0000
-3.3146 0.0000 4.8229
Co Ni O
1 4 8
Direct
0.0000 0.0000 0.0000
0.0000 0.0000 0.5000
0.0000 0.5000 0.0000
0.5000 0.0000 0.0000
0.5000 0.5000 0.0000
0.2104 0.7482 0.2082
0.2334 0.2334 0.1968
0.2496 0.2496 0.7900
0.2518 0.7896 0.7918
0.7482 0.2104 0.2082
0.7504 0.7504 0.2100
0.7666 0.7666 0.8032
0.7896 0.2518 0.7918
```

This entry pairs a crystal structure of V3O5F with its simulated XRD peak list. Radiation: CuKα. Structure: a DFT-relaxed cell (PBE+U, the Materials Project).
Lines closer than 0.1° are merged.

Most intense lines, 2θ from 15° to 90°, most intense first:
| Position (°2θ) | I_rel |
| --- | --- |
| 26.9 | 1000 |
| 36.0 | 461 |
| 53.7 | 211 |
| 53.6 | 209 |
| 67.9 | 153 |
| 40.9 | 145 |
| 53.8 | 137 |
| 55.6 | 94 |
| 55.4 | 91 |
| 63.0 | 74 |

Cell and atoms:
```
V3O5F
1.0
5.5288 0.0000 0.0000
1.5557 5.3118 0.0000
2.3748 1.7685 6.6117
V O F
6 10 2
Direct
0.0000 0.0000 0.0000
0.0024 0.0118 0.5065
0.3593 0.3590 0.6408
0.3662 0.3772 0.1553
0.6864 0.6798 0.8231
0.7189 0.6592 0.3267
0.0095 0.3661 0.3244
0.0652 0.6589 0.6468
0.1236 0.1213 0.7012
0.3087 0.7138 0.9988
0.4586 0.4488 0.3558
0.5804 0.5720 0.6317
0.6576 0.0595 0.6506
0.7093 0.3022 0.0031
0.7892 0.7794 0.0213
0.9312 0.9210 0.2883
0.2544 0.2504 0.9575
0.3952 0.9810 0.3252
```

This entry pairs a crystal structure of NiP2H16O10 with its simulated XRD peak list. Radiation: CuKα. Structure: a DFT-relaxed cell (PBE+U, the Materials Project).
Lines closer than 0.1° are merged.

Most intense lines, 2θ from 15° to 90°, most intense first:
| Position (°2θ) | I_rel |
| --- | --- |
| 15.1 | 1000 |
| 24.3 | 482 |
| 24.5 | 429 |
| 34.9 | 329 |
| 23.8 | 263 |
| 28.5 | 250 |
| 30.5 | 228 |
| 24.9 | 225 |
| 20.7 | 223 |
| 28.7 | 219 |

Cell and atoms:
```
NiP2H16O10
1.0
5.1357 -5.1409 0.0000
5.1357 5.1409 0.0000
-0.4581 0.0000 10.4001
Ni P H O
2 4 32 20
Direct
0.2342 0.7658 0.7500
0.7658 0.2342 0.2500
0.2495 0.2790 0.9902
0.2790 0.2495 0.4902
0.7210 0.7505 0.5098
0.7505 0.7210 0.0098
0.0405 0.4515 0.8047
0.0411 0.0752 0.8071
0.0733 0.4384 0.3063
0.0752 0.0411 0.3071
0.1384 0.7674 0.9963
0.1411 0.2574 0.5827
0.2326 0.8616 0.5037
0.2397 0.6388 0.5051
0.2508 0.4463 0.0633
0.2574 0.1411 0.0827
0.3612 0.7603 0.9949
0.4344 0.4550 0.8038
0.4384 0.0733 0.8063
0.4463 0.2508 0.5633
0.4515 0.0405 0.3047
0.4550 0.4344 0.3038
0.5450 0.5656 0.6962
0.5485 0.9595 0.6953
0.5537 0.7492 0.4367
0.5616 0.9267 0.1937
0.5656 0.5450 0.1962
0.6388 0.2397 0.0051
0.7426 0.8589 0.9173
0.7492 0.5537 0.9367
0.7603 0.3612 0.4949
0.7674 0.1384 0.4963
0.8589 0.7426 0.4173
0.8616 0.2326 0.0037
0.9248 0.9590 0.6929
0.9267 0.5616 0.6937
0.9590 0.9248 0.1929
0.9595 0.5485 0.1953
0.0306 0.5673 0.7576
0.0362 0.9638 0.7500
0.0661 0.2649 0.9130
0.2021 0.7517 0.5528
0.2483 0.7979 0.9472
0.2649 0.0661 0.4130
0.2702 0.4246 0.4113
0.4246 0.2702 0.9113
0.4327 0.9694 0.7424
0.4349 0.5651 0.7500
0.5651 0.4349 0.2500
0.5673 0.0306 0.2576
0.5754 0.7298 0.0887
0.7298 0.5754 0.5887
0.7351 0.9339 0.5870
0.7517 0.2021 0.0528
0.7979 0.2483 0.4472
0.9339 0.7351 0.0870
0.9638 0.0362 0.2500
0.9694 0.4327 0.2424
```

This entry pairs a crystal structure of LiVO3 with its simulated XRD peak list. Radiation: CuKα. Structure: a DFT-relaxed cell (PBE+U, the Materials Project).
Lines closer than 0.1° are merged.

Most intense lines, 2θ from 15° to 90°, most intense first:
| Position (°2θ) | I_rel |
| --- | --- |
| 18.4 | 1000 |
| 42.5 | 620 |
| 25.1 | 426 |
| 21.4 | 423 |
| 19.7 | 312 |
| 47.1 | 272 |
| 35.5 | 195 |
| 64.4 | 136 |
| 56.7 | 127 |
| 66.1 | 123 |

Cell and atoms:
```
LiVO3
1.0
2.4117 -4.5009 0.0000
2.4117 4.5009 0.0000
-1.1998 0.0000 4.8319
Li V O
2 2 6
Direct
0.1500 0.8500 0.0000
0.8500 0.1500 0.0000
0.3415 0.6585 0.5000
0.6585 0.3415 0.5000
0.0558 0.4553 0.7268
0.3003 0.3003 0.2881
0.4553 0.0558 0.7268
0.5447 0.9442 0.2732
0.6997 0.6997 0.7119
0.9442 0.5447 0.2732
```

This entry pairs a crystal structure of Li3Fe8B8O24 with its simulated XRD peak list. Radiation: CuKα. Structure: a DFT-relaxed cell (PBE+U, the Materials Project).
Lines closer than 0.1° are merged.

Most intense lines, 2θ from 15° to 90°, most intense first:
| Position (°2θ) | I_rel |
| --- | --- |
| 21.5 | 1000 |
| 35.5 | 904 |
| 19.6 | 781 |
| 26.1 | 714 |
| 21.4 | 464 |
| 19.4 | 444 |
| 34.3 | 342 |
| 34.1 | 324 |
| 26.4 | 275 |
| 33.8 | 272 |

Cell and atoms:
```
Li3Fe8B8O24
1.0
5.2970 0.0000 0.0000
-0.0497 9.0478 0.0000
-2.4700 -4.4792 10.1106
Li Fe B O
3 8 8 24
Direct
0.0000 0.0000 0.0000
0.2404 0.2226 0.4968
0.5741 0.8538 0.7517
0.0272 0.3519 0.0275
0.0848 0.7087 0.7797
0.2699 0.9018 0.5295
0.3296 0.2926 0.2731
0.5187 0.8305 0.0350
0.5728 0.2173 0.7851
0.7682 0.4241 0.5308
0.8247 0.7990 0.2890
0.0325 0.6850 0.0366
0.0667 0.0489 0.7838
0.2891 0.5777 0.5353
0.3202 0.9588 0.2840
0.5255 0.1600 0.0258
0.5756 0.5459 0.7829
0.7670 0.0929 0.5314
0.8281 0.4607 0.2839
0.0455 0.4094 0.2354
0.0562 0.5819 0.5721
0.1356 0.8000 0.9978
0.1418 0.5504 0.0233
0.1995 0.8567 0.3237
0.2364 0.1069 0.3008
0.2974 0.1905 0.0731
0.3060 0.0359 0.7470
0.3804 0.4236 0.4834
0.4281 0.7172 0.5587
0.4598 0.4138 0.7852
0.4842 0.6998 0.8362
0.5361 0.9121 0.2314
0.5366 0.1065 0.5767
0.6287 0.2638 0.9819
0.6441 0.0231 0.0218
0.7030 0.3606 0.3272
0.7329 0.6008 0.2891
0.7786 0.5386 0.7228
0.8116 0.7257 0.0880
0.8718 0.9458 0.4864
0.8893 0.2249 0.5268
0.9482 0.1912 0.8106
0.9540 0.9219 0.7990
```

This entry pairs a crystal structure of Li3Cr2NiO6 with its simulated XRD peak list. Radiation: CuKα. Structure: a DFT-relaxed cell (PBE+U, the Materials Project).
Lines closer than 0.1° are merged.

Most intense lines, 2θ from 15° to 90°, most intense first:
| Position (°2θ) | I_rel |
| --- | --- |
| 18.4 | 1000 |
| 43.4 | 529 |
| 63.0 | 355 |
| 35.7 | 279 |
| 43.3 | 268 |
| 37.3 | 177 |
| 35.6 | 144 |
| 47.5 | 138 |
| 79.6 | 128 |
| 57.4 | 112 |

Cell and atoms:
```
Li3Cr2NiO6
1.0
6.4451 -1.4724 0.0000
6.4451 1.4724 0.0000
-1.3506 0.0000 5.7401
Li Cr Ni O
3 2 1 6
Direct
0.0000 0.0000 0.0000
0.3360 0.3360 0.6646
0.6640 0.6640 0.3354
0.3343 0.3343 0.1728
0.6657 0.6657 0.8272
0.0000 0.0000 0.5000
0.1669 0.1669 0.5999
0.1731 0.1731 0.0652
0.4917 0.4917 0.2559
0.5083 0.5083 0.7441
0.8269 0.8269 0.9348
0.8331 0.8331 0.4001
```

This entry pairs a crystal structure of ZnCrP2O7 with its simulated XRD peak list. Radiation: CuKα. Structure: a DFT-relaxed cell (PBE+U, the Materials Project).
Lines closer than 0.1° are merged.

Most intense lines, 2θ from 15° to 90°, most intense first:
| Position (°2θ) | I_rel |
| --- | --- |
| 26.8 | 1000 |
| 29.2 | 670 |
| 29.4 | 347 |
| 26.3 | 267 |
| 28.3 | 255 |
| 34.9 | 176 |
| 58.1 | 166 |
| 42.6 | 153 |
| 29.7 | 148 |
| 57.7 | 138 |

Cell and atoms:
```
ZnCrP2O7
1.0
6.3736 0.0000 0.0000
0.9926 6.3698 0.0000
1.9073 2.1943 6.6640
Zn Cr P O
2 2 4 14
Direct
0.0812 0.2116 0.3135
0.9188 0.7884 0.6865
0.3185 0.4060 0.7205
0.6815 0.5940 0.2795
0.1714 0.7132 0.2634
0.3820 0.8611 0.8181
0.6180 0.1389 0.1819
0.8286 0.2868 0.7366
0.0123 0.5576 0.2577
0.0555 0.8739 0.3815
0.2455 0.7140 0.7700
0.2511 0.8748 0.0424
0.3575 0.5725 0.3495
0.3687 0.0993 0.6878
0.3894 0.2412 0.1592
0.6106 0.7588 0.8408
0.6313 0.9007 0.3122
0.6425 0.4275 0.6505
0.7489 0.1252 0.9576
0.7545 0.2860 0.2300
0.9445 0.1261 0.6185
0.9877 0.4424 0.7423
```